1.
This entry pairs a crystal structure of Ba2TbAg with its simulated powder diffraction line list. Radiation: Cu Kα, 1.54184 Å. Structure: a structure optimized by DFT (GGA-PBE).
Lines closer than 0.1° are merged.

Top 10 peaks for 10° ≤ 2θ ≤ 80°, sorted by position:
2theta  Rel. int.
21.68  26
26.35  53
26.68  97
28.94  30
29.04  28
32.74  52
35.94  100
46.29  48
55.57  31
56.79  26

Structure:
a = 3.9223 Å, b = 3.9223 Å, c = 36.8951 Å
α = 90.00°, β = 90.00°, γ = 120.00°
Space group R-3m (No. 166, hexagonal axes)
One atom of each set of equivalent atoms:
Ba 0.0000 0.0000 0.0991
Tb 0.0000 0.0000 0.0000
Ag 0.0000 0.0000 0.5000

2.
This entry pairs a crystal structure of BaTcAg2 with its simulated powder diffraction line list. Radiation: Cu Kα, 1.54184 Å. Structure: a structure optimized by DFT (GGA-PBE).
Lines closer than 0.1° are merged.

Top 10 peaks for 10° ≤ 2θ ≤ 80°, sorted by position:
2theta  Rel. int.
15.51  46
22.38  19
30.23  58
31.31  38
34.15  36
38.17  100
41.43  22
50.14  40
50.23  20
58.39  20

Structure:
a = 8.166 Å, b = 4.717 Å, c = 6.334 Å
α = 90.00°, β = 115.59°, γ = 90.00°
Space group Cm (No. 8)
One atom of each set of equivalent atoms:
Ba 0.000 0.000 0.000
Tc 0.313 0.500 0.439
Ag 0.192 0.000 0.574
Ag 0.488 0.000 0.464

3.
This entry pairs a crystal structure of BaAg4Te with its simulated powder diffraction line list. Radiation: Cu Kα, 1.54184 Å. Structure: a structure optimized by DFT (GGA-PBE).
Lines closer than 0.1° are merged.

Top 10 peaks for 10° ≤ 2θ ≤ 80°, sorted by position:
2theta  Rel. int.
30.25  31
35.63  100
37.27  36
43.31  3
53.74  12
57.29  32
62.92  27
71.39  5
74.45  11
75.46  13

Structure:
a = 8.356 Å, b = 8.356 Å, c = 8.356 Å
α = 90.00°, β = 90.00°, γ = 90.00°
Space group F-43m (No. 216)
One atom of each set of equivalent atoms:
Ba 0.000 0.000 0.000
Ag 0.124 0.124 0.376
Te 0.250 0.250 0.750

4.
This entry pairs a crystal structure of BaAg6Te4 with its simulated powder diffraction line list. Radiation: Cu Kα, 1.54184 Å. Structure: a structure optimized by DFT (GGA-PBE).
Lines closer than 0.1° are merged.

Top 10 peaks for 10° ≤ 2θ ≤ 80°, sorted by position:
2theta  Rel. int.
22.84  41
27.97  100
28.14  48
29.77  86
33.09  41
35.10  77
36.33  97
40.55  60
42.51  43
44.03  64

Structure:
a = 10.161 Å, b = 10.229 Å, c = 7.473 Å
α = 90.00°, β = 126.56°, γ = 90.00°
Space group Cm (No. 8)
One atom of each set of equivalent atoms:
Ba 0.000 0.000 0.000
Ag 0.061 0.500 0.786
Ag 0.258 0.250 0.482
Ag 0.367 0.500 0.397
Ag 0.431 0.143 0.990
Te 0.117 0.500 0.461
Te 0.199 0.000 0.581
Te 0.239 0.278 0.081